The following is a simulated X-ray powder pattern of Rb2Cu2W3. It was derived from a structure optimized by DFT (PBE), using copper Kα.
Peak positions follow from Bragg's law for the DFT cell and can differ from measured ones.

Atomic structure:
Unit cell a=11.928 b=11.928 c=11.928 alpha=20.95 beta=20.95 gamma=20.95
Fractional coordinates of all 7 atoms:
Rb 0.000 0.000 0.000
Rb 0.430 0.430 0.430
Cu 0.161 0.161 0.161
Cu 0.610 0.610 0.610
W 0.234 0.234 0.234
W 0.540 0.540 0.540
W 0.855 0.855 0.855

Most intense lines, 5° ≤ 2θ ≤ 70°, sorted by position:
2theta  d/Å  I/Imax
7.58  11.662  100
15.19  5.831  9
26.94  3.309  7
29.76  3.002  9
35.05  2.560  9
41.27  2.188  11
41.66  2.168  19
42.40  2.132  11
48.15  1.890  7
55.57  1.654  5

The following is a simulated X-ray powder pattern of Cu3ReS4. It was derived from a structure optimized by DFT (PBE), using copper Kα.
Peak positions follow from Bragg's law for the DFT cell and can differ from measured ones.

Atomic structure:
Unit cell a=6.372 b=6.372 c=6.372 alpha=130.70 beta=130.70 gamma=72.29
Fractional coordinates of all 8 atoms:
Cu 0.000 0.000 0.000
Cu 0.250 0.750 0.500
Cu 0.750 0.250 0.500
Re 0.500 0.500 0.000
S 0.131 0.131 0.510
S 0.379 0.869 0.000
S 0.621 0.621 0.490
S 0.869 0.379 0.000

Most intense lines, 5° ≤ 2θ ≤ 70°, sorted by position:
2theta  d/Å  I/Imax
17.23  5.146  7
18.79  4.723  23
23.67  3.759  6
29.43  3.035  100
33.72  2.658  14
38.88  2.316  7
48.44  1.879  19
49.29  1.849  36
57.69  1.598  28
59.21  1.561  13